(1)
Structure and theoretical powder diffractogram of K2TlIrF6 (DFT lattice parameters and positions (GGA-PBE); Cu Kα, 1.54184 Å).
Kinematic intensities with the Lorentz-polarization factor, no thermal factor.

Structural model:
```
K2TlIrF6
1.0
0.0000 4.6290 4.6290
4.6290 0.0000 4.6290
4.6290 4.6290 0.0000
K Tl Ir F
2 1 1 6
Direct
0.2500 0.2500 0.2500 K
0.7500 0.7500 0.7500 K
0.0000 0.0000 0.0000 Tl
0.5000 0.5000 0.5000 Ir
0.2799 0.2799 0.7201 F
0.2799 0.7201 0.2799 F
0.2799 0.7201 0.7201 F
0.7201 0.2799 0.2799 F
0.7201 0.2799 0.7201 F
0.7201 0.7201 0.2799 F
```

Peak list (11 most intense, 2θ = 5–70°, by intensity)
Position (°2θ)	d (Å)	I/Imax
27.25	3.273	100
19.17	4.629	73
48.15	1.890	41
43.73	2.070	35
38.91	2.314	34
56.21	1.637	21
63.56	1.464	20
59.95	1.543	17
33.53	2.673	8
67.06	1.396	5
42.57	2.124	1

***

(2)
Structure and theoretical powder diffractogram of Eu2MgSe4 (DFT lattice parameters and positions (GGA-PBE); Cu Kα, 1.54184 Å).
Kinematic intensities with the Lorentz-polarization factor, no thermal factor.

Structural model:
```
Eu2MgSe4
1.0
14.0969 0.0000 0.0000
0.0000 4.1267 0.0000
0.0000 0.0000 13.7992
Eu Mg Se
8 4 16
Direct
0.1230 0.2500 0.0717 Eu
0.1265 0.2500 0.7056 Eu
0.3735 0.7500 0.2056 Eu
0.3770 0.7500 0.5717 Eu
0.6230 0.2500 0.4283 Eu
0.6265 0.2500 0.7944 Eu
0.8735 0.7500 0.2944 Eu
0.8770 0.7500 0.9283 Eu
0.1047 0.7500 0.4626 Mg
0.3953 0.2500 0.9626 Mg
0.6047 0.7500 0.0374 Mg
0.8953 0.2500 0.5374 Mg
0.0023 0.2500 0.3789 Se
0.0194 0.2500 0.8868 Se
0.2285 0.2500 0.5068 Se
0.2355 0.2500 0.2525 Se
0.2645 0.7500 0.7525 Se
0.2715 0.7500 0.0068 Se
0.4806 0.7500 0.3868 Se
0.4977 0.7500 0.8789 Se
0.5023 0.2500 0.1211 Se
0.5194 0.2500 0.6132 Se
0.7285 0.2500 0.9932 Se
0.7355 0.2500 0.2475 Se
0.7645 0.7500 0.7475 Se
0.7715 0.7500 0.4932 Se
0.9806 0.7500 0.1132 Se
0.9977 0.7500 0.6211 Se
```

Peak list (12 most intense, 2θ = 5–70°, by intensity)
Position (°2θ)	d (Å)	I/Imax
25.00	3.561	100
31.64	2.828	88
23.09	3.852	59
38.89	2.316	58
28.81	3.099	58
14.29	6.197	51
43.88	2.063	50
40.91	2.206	42
29.53	3.025	42
45.61	1.989	39
39.81	2.264	35
34.90	2.571	30

***

(3)
Structure and theoretical powder diffractogram of LiSbP4O12 (DFT lattice parameters and positions (GGA-PBE); Cu Kα, 1.54184 Å).
Kinematic intensities with the Lorentz-polarization factor, no thermal factor.

Structural model:
```
LiSbP4O12
1.0
8.2105 -3.7426 0.0000
8.2105 3.7426 0.0000
-5.4698 0.0000 8.0805
Li Sb P O
2 2 8 24
Direct
0.0000 0.0000 0.0000 Li
0.0000 0.0000 0.5000 Li
0.2758 0.7242 0.7500 Sb
0.7242 0.2758 0.2500 Sb
0.0132 0.6817 0.9024 P
0.3152 0.4082 0.3392 P
0.3183 0.9868 0.5976 P
0.4082 0.3152 0.8392 P
0.5918 0.6848 0.1608 P
0.6817 0.0132 0.4024 P
0.6848 0.5918 0.6608 P
0.9868 0.3183 0.0976 P
0.0043 0.7497 0.7833 O
0.0085 0.8230 0.0721 O
0.1665 0.3580 0.1677 O
0.1770 0.9915 0.4279 O
0.1972 0.5918 0.4623 O
0.2141 0.4530 0.9083 O
0.2503 0.9957 0.7167 O
0.3580 0.1665 0.6677 O
0.4082 0.8028 0.0377 O
0.4280 0.4367 0.7914 O
0.4367 0.4280 0.2914 O
0.4530 0.2141 0.4083 O
0.5470 0.7859 0.5917 O
0.5633 0.5720 0.7086 O
0.5720 0.5633 0.2086 O
0.5918 0.1972 0.9623 O
0.6420 0.8335 0.3323 O
0.7497 0.0043 0.2833 O
0.7859 0.5470 0.0917 O
0.8028 0.4082 0.5377 O
0.8230 0.0085 0.5721 O
0.8335 0.6420 0.8323 O
0.9915 0.1770 0.9279 O
0.9957 0.2503 0.2167 O
```

Peak list (12 most intense, 2θ = 5–70°, by intensity)
Position (°2θ)	d (Å)	I/Imax
19.61	4.528	100
22.88	3.886	49
14.92	5.937	39
26.43	3.372	37
29.97	2.981	32
31.46	2.843	29
13.02	6.799	28
33.23	2.696	23
30.62	2.919	22
20.10	4.418	21
22.00	4.040	19
13.50	6.557	16

***

(4)
Structure and theoretical powder diffractogram of Sb4O5F2 (DFT lattice parameters and positions (GGA-PBE); Cu Kα, 1.54184 Å).
Kinematic intensities with the Lorentz-polarization factor, no thermal factor.

Structural model:
```
Sb4O5F2
1.0
6.0667 0.0000 0.0000
0.0000 5.2949 0.0000
-1.4308 0.0000 13.5407
Sb O F
8 10 4
Direct
0.1825 0.2251 0.0590 Sb
0.1825 0.2749 0.5590 Sb
0.2376 0.5679 0.2985 Sb
0.2376 0.9321 0.7985 Sb
0.7624 0.0679 0.2015 Sb
0.7624 0.4321 0.7015 Sb
0.8175 0.7251 0.4410 Sb
0.8175 0.7749 0.9410 Sb
0.0000 0.0000 0.5000 O
0.0000 0.5000 0.0000 O
0.0728 0.0161 0.9174 O
0.0728 0.4839 0.4174 O
0.0952 0.1932 0.7076 O
0.0952 0.3068 0.2076 O
0.9048 0.6932 0.7924 O
0.9048 0.8068 0.2924 O
0.9272 0.5161 0.5826 O
0.9272 0.9839 0.0826 O
0.4584 0.1996 0.8606 F
0.4584 0.3004 0.3606 F
0.5416 0.6996 0.6394 F
0.5416 0.8004 0.1394 F
```

Peak list (12 most intense, 2θ = 5–70°, by intensity)
Position (°2θ)	d (Å)	I/Imax
26.76	3.331	100
28.86	3.094	97
23.74	3.748	62
21.30	4.171	55
22.85	3.892	48
14.68	6.033	45
35.58	2.523	40
48.58	1.874	35
31.64	2.828	34
54.16	1.694	32
17.99	4.931	32
29.61	3.017	32

***

(5)
Structure and theoretical powder diffractogram of NaLiCO3 (DFT lattice parameters and positions (GGA-PBE); Cu Kα, 1.54184 Å).
Kinematic intensities with the Lorentz-polarization factor, no thermal factor.

Structural model:
```
NaLiCO3
1.0
14.5138 0.0000 0.0000
-7.2569 12.5693 0.0000
0.0000 0.0000 3.3609
Na Li C O
9 9 9 27
Direct
0.0781 0.8601 0.0000 Na
0.1089 0.5740 0.0000 Na
0.1399 0.2180 0.0000 Na
0.4260 0.5349 0.0000 Na
0.4534 0.2421 0.0000 Na
0.4651 0.8911 0.0000 Na
0.7579 0.2113 0.0000 Na
0.7820 0.9219 0.0000 Na
0.7887 0.5466 0.0000 Na
0.2072 0.4404 0.5000 Li
0.2273 0.0865 0.5000 Li
0.2332 0.7928 0.5000 Li
0.5124 0.0988 0.5000 Li
0.5596 0.7668 0.5000 Li
0.5864 0.4876 0.5000 Li
0.8592 0.7727 0.5000 Li
0.9012 0.4136 0.5000 Li
0.9135 0.1408 0.5000 Li
0.0000 0.0000 0.5000 C
0.0136 0.3344 0.0000 C
0.3208 0.9864 0.0000 C
0.3333 0.6667 0.5000 C
0.3419 0.3308 0.5000 C
0.6656 0.6792 0.0000 C
0.6667 0.3333 0.5000 C
0.6692 0.0111 0.5000 C
0.9889 0.6581 0.5000 C
0.0815 0.7439 0.5000 O
0.0927 0.0861 0.5000 O
0.1146 0.4057 0.0000 O
0.2413 0.6617 0.5000 O
0.2503 0.0169 0.0000 O
0.2561 0.3376 0.5000 O
0.2911 0.8854 0.0000 O
0.3355 0.2381 0.5000 O
0.3383 0.5795 0.5000 O
0.4205 0.7587 0.5000 O
0.4219 0.0569 0.0000 O
0.4348 0.4170 0.5000 O
0.5721 0.2501 0.5000 O
0.5830 0.0178 0.5000 O
0.5943 0.7089 0.0000 O
0.6350 0.5781 0.0000 O
0.6624 0.9185 0.5000 O
0.6780 0.4279 0.5000 O
0.7499 0.3220 0.5000 O
0.7619 0.0974 0.5000 O
0.7667 0.7497 0.0000 O
0.9026 0.6645 0.5000 O
0.9139 0.0066 0.5000 O
0.9431 0.3650 0.0000 O
0.9822 0.5652 0.5000 O
0.9831 0.2333 0.0000 O
0.9934 0.9073 0.5000 O
```

Peak list (12 most intense, 2θ = 5–70°, by intensity)
Position (°2θ)	d (Å)	I/Imax
29.28	3.050	100
34.20	2.622	64
21.21	4.190	42
36.44	2.466	32
37.17	2.419	26
32.65	2.743	24
54.61	1.680	23
42.54	2.125	21
43.18	2.095	20
51.40	1.778	19
46.24	1.963	17
53.03	1.727	13

***

(6)
Structure and theoretical powder diffractogram of CrN2 (DFT lattice parameters and positions (GGA-PBE); Cu Kα, 1.54184 Å).
Kinematic intensities with the Lorentz-polarization factor, no thermal factor.

Structural model:
```
CrN2
1.0
-4.0526 7.6953 10.2704
4.0526 -7.6953 10.2704
4.0526 7.6953 -10.2704
Cr N
18 36
Direct
0.1196 0.9169 0.2027 Cr
0.1221 0.1173 0.5917 Cr
0.1221 0.5304 0.0048 Cr
0.1511 0.1511 0.0000 Cr
0.2706 0.5618 0.2912 Cr
0.2706 0.9793 0.7088 Cr
0.2859 0.0831 0.2027 Cr
0.4745 0.4696 0.5917 Cr
0.4745 0.8827 0.0048 Cr
0.5255 0.1173 0.9952 Cr
0.5255 0.5304 0.4083 Cr
0.7141 0.9169 0.7973 Cr
0.7294 0.0207 0.2912 Cr
0.7294 0.4382 0.7088 Cr
0.8489 0.8489 0.0000 Cr
0.8779 0.4696 0.9952 Cr
0.8779 0.8827 0.4083 Cr
0.8804 0.0831 0.7973 Cr
0.0000 0.0000 0.5000 N
0.0000 0.5000 0.0000 N
0.0091 0.1034 0.9056 N
0.1252 0.3413 0.7839 N
0.1379 0.0557 0.4255 N
0.1379 0.7124 0.0822 N
0.1978 0.1034 0.0944 N
0.2003 0.0300 0.8296 N
0.2003 0.3707 0.1704 N
0.2183 0.0000 0.2183 N
0.2238 0.0696 0.6629 N
0.2238 0.5609 0.1542 N
0.2519 0.7519 0.5000 N
0.3699 0.2876 0.4255 N
0.3699 0.9443 0.0822 N
0.4067 0.0696 0.8458 N
0.4067 0.5609 0.3371 N
0.4426 0.6587 0.7839 N
0.5000 0.0000 0.0000 N
0.5000 0.5000 0.5000 N
0.5574 0.3413 0.2161 N
0.5933 0.4391 0.6629 N
0.5933 0.9304 0.1542 N
0.6301 0.0557 0.9178 N
0.6301 0.7124 0.5745 N
0.7481 0.2481 0.5000 N
0.7762 0.4391 0.8458 N
0.7762 0.9304 0.3371 N
0.7817 0.0000 0.7817 N
0.7997 0.6293 0.8296 N
0.7997 0.9700 0.1704 N
0.8022 0.8966 0.9056 N
0.8621 0.2876 0.9178 N
0.8621 0.9443 0.5745 N
0.8748 0.6587 0.2161 N
0.9909 0.8966 0.0944 N
```

Peak list (12 most intense, 2θ = 5–70°, by intensity)
Position (°2θ)	d (Å)	I/Imax
8.61	10.270	100
11.74	7.540	27
23.11	3.848	26
23.60	3.770	23
20.52	4.328	21
21.65	4.106	16
11.50	7.695	15
12.34	7.172	13
20.80	4.271	12
26.20	3.401	11
21.28	4.175	9
22.40	3.969	8

***

(7)
Structure and theoretical powder diffractogram of In4Sn3O12 (DFT lattice parameters and positions (GGA-PBE); Cu Kα, 1.54184 Å).
Kinematic intensities with the Lorentz-polarization factor, no thermal factor.

Structural model:
```
In4Sn3O12
1.0
6.2946 0.0000 0.0000
-1.0347 6.2529 0.0000
-2.1437 -2.4323 12.2540
In Sn O
8 6 24
Direct
0.1027 0.1345 0.4051 In
0.1867 0.3954 0.6823 In
0.1941 0.3970 0.1835 In
0.3639 0.6865 0.9477 In
0.6361 0.3135 0.0523 In
0.8059 0.6030 0.8165 In
0.8133 0.6046 0.3177 In
0.8973 0.8655 0.5949 In
0.1038 0.1399 0.9082 Sn
0.3610 0.6816 0.4482 Sn
0.4959 0.9963 0.7482 Sn
0.5041 0.0037 0.2518 Sn
0.6390 0.3184 0.5518 Sn
0.8962 0.8601 0.0918 Sn
0.0790 0.4130 0.8414 O
0.0852 0.8339 0.9627 O
0.0896 0.8193 0.4604 O
0.0942 0.4250 0.3419 O
0.1809 0.0476 0.2006 O
0.1841 0.0587 0.7049 O
0.3129 0.4086 0.0378 O
0.3306 0.4248 0.5416 O
0.4075 0.6956 0.2871 O
0.4107 0.6853 0.7787 O
0.4311 0.0962 0.9046 O
0.4507 0.1014 0.4111 O
0.5493 0.8986 0.5889 O
0.5689 0.9038 0.0954 O
0.5893 0.3147 0.2213 O
0.5925 0.3044 0.7129 O
0.6694 0.5752 0.4584 O
0.6871 0.5914 0.9622 O
0.8159 0.9413 0.2951 O
0.8191 0.9524 0.7994 O
0.9058 0.5750 0.6581 O
0.9104 0.1807 0.5396 O
0.9148 0.1661 0.0373 O
0.9210 0.5870 0.1586 O
```

Peak list (12 most intense, 2θ = 5–70°, by intensity)
Position (°2θ)	d (Å)	I/Imax
29.91	2.987	100
30.13	2.966	34
34.80	2.578	27
50.05	1.822	20
49.74	1.833	19
59.32	1.558	16
34.62	2.591	14
59.42	1.556	12
49.92	1.827	10
50.14	1.819	9
59.64	1.550	8
59.16	1.562	8

***

(8)
Structure and theoretical powder diffractogram of KMg6Sb (DFT lattice parameters and positions (GGA-PBE); Cu Kα, 1.54184 Å).
Kinematic intensities with the Lorentz-polarization factor, no thermal factor.

Structural model:
```
KMg6Sb
1.0
5.1713 0.0000 0.0000
0.0000 6.9036 0.0000
0.0000 0.0000 11.8416
K Mg Sb
2 12 2
Direct
0.0000 0.0000 0.0000 K
0.0000 0.5000 0.5000 K
0.0000 0.0000 0.5123 Mg
0.0000 0.2477 0.7505 Mg
0.0000 0.2523 0.2505 Mg
0.0000 0.5000 0.0123 Mg
0.0000 0.7477 0.2505 Mg
0.0000 0.7523 0.7505 Mg
0.5000 0.0000 0.3390 Mg
0.5000 0.2259 0.5973 Mg
0.5000 0.2741 0.0973 Mg
0.5000 0.5000 0.8390 Mg
0.5000 0.7259 0.0973 Mg
0.5000 0.7741 0.5973 Mg
0.5000 0.0000 0.8216 Sb
0.5000 0.5000 0.3216 Sb
```

Peak list (12 most intense, 2θ = 5–70°, by intensity)
Position (°2θ)	d (Å)	I/Imax
34.72	2.584	100
14.85	5.964	43
22.79	3.902	41
34.92	2.569	32
29.96	2.982	19
62.22	1.492	16
31.32	2.856	15
14.96	5.921	13
65.34	1.428	12
30.19	2.960	12
53.48	1.713	12
37.94	2.372	11

***

(9)
Structure and theoretical powder diffractogram of LiCaSb (DFT lattice parameters and positions (GGA-PBE); Cu Kα, 1.54184 Å).
Kinematic intensities with the Lorentz-polarization factor, no thermal factor.

Structural model:
```
LiCaSb
1.0
7.6756 0.0000 0.0000
0.0000 4.6464 0.0000
0.0000 0.0000 8.3565
Li Ca Sb
4 4 4
Direct
0.1513 0.2500 0.0720 Li
0.3487 0.7500 0.5720 Li
0.6513 0.2500 0.4280 Li
0.8487 0.7500 0.9280 Li
0.0104 0.2500 0.7016 Ca
0.4896 0.7500 0.2016 Ca
0.5104 0.2500 0.7984 Ca
0.9896 0.7500 0.2984 Ca
0.2308 0.7500 0.8996 Sb
0.2692 0.2500 0.3996 Sb
0.7308 0.7500 0.6004 Sb
0.7692 0.2500 0.1004 Sb
```

Peak list (12 most intense, 2θ = 5–70°, by intensity)
Position (°2θ)	d (Å)	I/Imax
24.80	3.589	100
24.25	3.670	72
32.09	2.789	71
37.65	2.389	40
46.25	1.963	25
38.76	2.323	25
41.73	2.165	23
23.18	3.838	19
41.38	2.182	19
44.68	2.028	18
31.66	2.826	15
57.99	1.590	13

***

- Which formula does entry 5 have?
  NaLiCO3